Computed PXRD pattern of DyHoSn2Ir4 for Cu Kα X-rays, from a cell relaxed with PBE.
Intensities are scaled so that the largest is 100.

Structure:
```
DyHoSn2Ir4
1.0
4.501 0.000 0.000
-2.251 3.898 0.000
0.000 0.000 9.013
Dy Ho Sn Ir
1 1 2 4
Direct
0.000 0.000 0.000
0.333 0.667 0.500
0.667 0.333 0.250
0.667 0.333 0.750
0.000 0.000 0.350
0.000 0.000 0.650
0.333 0.667 0.151
0.333 0.667 0.849
```

Largest 6 diffraction maxima, in order of rising 2θ, 2θ = 10–80°:
(1 0 0), 2θ = 22.81°, I = 20; (1 0 2), 2θ = 30.32°, I = 18; (1 0 3), 2θ = 37.81°, I = 100; (1 1 0), 2θ = 40.06°, I = 91; (2 0 3), 2θ = 56.26°, I = 35; (2 1 3), 2θ = 71.29°, I = 33

Computed PXRD pattern of Sm4Zn3Ni2 for Cu Kα X-rays, from a cell relaxed with PBE.
Intensities are scaled so that the largest is 100.

Structure:
```
Sm4Zn3Ni2
1.0
7.165 0.000 0.000
0.000 3.655 0.000
-2.068 0.000 7.468
Sm Zn Ni
4 3 2
Direct
0.076 0.000 0.216
0.391 0.000 0.704
0.609 0.000 0.296
0.924 0.000 0.784
0.000 0.500 0.500
0.307 0.500 0.020
0.693 0.500 0.980
0.340 0.500 0.392
0.660 0.500 0.608
```

Largest 6 diffraction maxima, in order of rising 2θ, 2θ = 10–80°:
(2 0 1), 2θ = 31.31°, I = 31; (0 1 2), 2θ = 34.34°, I = 100; (2 1 -1), 2θ = 35.45°, I = 87; (2 0 -3), 2θ = 38.53°, I = 36; (3 0 0), 2θ = 39.13°, I = 36; (2 1 1), 2θ = 40.05°, I = 26

Computed PXRD pattern of Na4MoS4 for Cu Kα X-rays, from a cell relaxed with PBE.
Intensities are scaled so that the largest is 100.

Structure:
```
Na4MoS4
1.0
7.802 0.000 0.000
0.000 7.802 0.000
0.000 0.000 6.909
Na Mo S
8 2 8
Direct
0.091 0.302 0.468
0.198 0.409 0.968
0.302 0.909 0.532
0.409 0.802 0.032
0.591 0.198 0.032
0.698 0.091 0.532
0.802 0.591 0.968
0.909 0.698 0.468
0.000 0.000 0.000
0.500 0.500 0.500
0.089 0.768 0.816
0.232 0.089 0.184
0.268 0.589 0.316
0.411 0.268 0.684
0.589 0.732 0.684
0.732 0.411 0.316
0.768 0.911 0.184
0.911 0.232 0.816
```

Largest 6 diffraction maxima, in order of rising 2θ, 2θ = 10–80°:
(1 1 0), 2θ = 16.07°, I = 41; (1 0 1), 2θ = 17.14°, I = 100; (2 1 1), 2θ = 28.66°, I = 100; (2 1 2), 2θ = 36.61°, I = 30; (3 1 2), 2θ = 45.16°, I = 32; (2 1 3), 2θ = 47.29°, I = 42

Computed PXRD pattern of Li3Pd2O6 for Cu Kα X-rays, from a cell relaxed with PBE.
Intensities are scaled so that the largest is 100.

Structure:
```
Li3Pd2O6
1.0
5.100 0.000 0.000
2.490 4.468 0.000
0.529 1.550 9.441
Li Pd O
6 4 12
Direct
0.000 0.000 0.000
0.005 0.493 0.535
0.337 0.603 0.244
0.376 0.040 0.782
0.677 0.895 0.246
0.684 0.444 0.783
0.333 0.828 0.518
0.334 0.354 0.997
0.670 0.161 0.517
0.985 0.268 0.251
0.013 0.103 0.632
0.016 0.606 0.135
0.048 0.341 0.884
0.303 0.003 0.137
0.310 0.206 0.401
0.342 0.699 0.898
0.371 0.446 0.634
0.648 0.270 0.156
0.653 0.087 0.891
0.656 0.803 0.634
0.662 0.531 0.394
0.992 0.892 0.386
```

Largest 6 diffraction maxima, in order of rising 2θ, 2θ = 10–80°:
(0 0 2), 2θ = 18.80°, I = 76; (0 1 1), 2θ = 20.81°, I = 100; (1 1 1), 2θ = 21.28°, I = 92; (-1 1 3), 2θ = 42.84°, I = 83; (1 2 -2), 2θ = 43.43°, I = 76; (2 1 3), 2θ = 44.45°, I = 85

Which formula does entry 4 have? Li3Pd2O6

What is the formula in the first record? DyHoSn2Ir4